Diffraction record for CsSeBr3. The XRD peak list is theoretical, not measured: it uses a crystal structure in Alexandria, relaxed with GGA-PBE and Cu Kα.
Peak positions follow from Bragg's law for the DFT cell and can differ from measured ones.

Largest 10 diffraction maxima, in order of rising 2θ, 10° ≤ 2θ ≤ 90°:
2θ = 22.04°, I 27
2θ = 23.91°, I 81
2θ = 26.74°, I 100
2θ = 30.18°, I 69
2θ = 32.74°, I 15
2θ = 39.66°, I 22
2θ = 41.41°, I 26
2θ = 44.95°, I 41
2θ = 51.55°, I 50
2θ = 68.63°, I 17

Cell and atoms:
Unit cell a=8.0659 b=8.0659 c=22.3297 alpha=90.00 beta=90.00 gamma=120.00
Space group R-3 (No. 148, hexagonal axes)
Symmetry-distinct sites (fractional):
Cs 0.0000 0.0000 0.2368 (multiplicity 6)
Se 0.0000 0.0000 0.4153 (multiplicity 6)
Br 0.0292 0.5255 0.7494 (multiplicity 18)

Diffraction record for Na2Sb3O8. The XRD peak list is theoretical, not measured: it uses a crystal structure in Alexandria, relaxed with GGA-PBE and Cu Kα.
Peak positions follow from Bragg's law for the DFT cell and can differ from measured ones.

Largest 10 diffraction maxima, in order of rising 2θ, 10° ≤ 2θ ≤ 90°:
2θ = 13.41°, I 64
2θ = 16.44°, I 100
2θ = 21.28°, I 55
2θ = 31.78°, I 93
2θ = 33.24°, I 40
2θ = 38.57°, I 51
2θ = 50.81°, I 36
2θ = 55.68°, I 43
2θ = 58.47°, I 19
2θ = 66.41°, I 23

Cell and atoms:
Unit cell a=9.3380 b=9.3380 c=9.3380 alpha=90.00 beta=90.00 gamma=90.00
Space group P4_332 (No. 212)
Symmetry-distinct sites (fractional):
Na 0.0097 0.0097 0.0097 (multiplicity 8)
Sb 0.1156 0.1344 0.6250 (multiplicity 12)
O 0.0780 0.1482 0.4085 (multiplicity 24)
O 0.1155 0.6155 0.8845 (multiplicity 8)

Diffraction record for Ca2TiSi2SnO10. The XRD peak list is theoretical, not measured: it uses a crystal structure in Alexandria, relaxed with GGA-PBE and Cu Kα.
Peak positions follow from Bragg's law for the DFT cell and can differ from measured ones.

Largest 10 diffraction maxima, in order of rising 2θ, 10° ≤ 2θ ≤ 90°:
2θ = 17.51°, I 47
2θ = 17.61°, I 41
2θ = 26.80°, I 68
2θ = 26.97°, I 88
2θ = 29.06°, I 100
2θ = 33.57°, I 48
2θ = 33.74°, I 93
2θ = 33.89°, I 36
2θ = 37.11°, I 25
2θ = 60.29°, I 24

Cell and atoms:
Unit cell a=5.5377 b=5.5855 c=7.2282 alpha=104.41 beta=103.79 gamma=105.71
Space group P-1 (No. 2)
Symmetry-distinct sites (fractional):
Ca 0.1699 0.3347 0.2717 (multiplicity 2)
Ti 0.5000 0.0000 0.5000 (multiplicity 1)
Si 0.1770 0.3156 0.7473 (multiplicity 2)
Sn 0.5000 0.0000 0.0000 (multiplicity 1)
O 0.1182 0.7563 0.4185 (multiplicity 2)
O 0.1764 0.1118 0.8785 (multiplicity 2)
O 0.2310 0.6125 0.8994 (multiplicity 2)
O 0.3940 0.3134 0.6237 (multiplicity 2)
O 0.4208 0.0753 0.2594 (multiplicity 2)